# PmSn3Ru
Theoretical XRD peak list, Cu Kα. Input: a crystal structure in Alexandria, relaxed with PBE.
Intensities are scaled so that the largest is 100.

Largest 12 diffraction maxima, in order of rising 2θ, 2θ from 5° to 70°:
2theta	d (Å)	I (rel.)
20.28	4.379	10
28.09	3.176	33
31.61	2.831	16
36.10	2.488	100
37.90	2.374	29
39.04	2.307	27
50.15	1.819	12
51.07	1.788	9
55.54	1.655	19
64.10	1.453	14
67.28	1.392	17
68.81	1.364	16

Structure:
```
data_PmSn3Ru
_cell_length_a 4.6146
_cell_length_b 6.1391
_cell_length_c 6.1391
_cell_angle_alpha 45.50
_cell_angle_beta 90.00
_cell_angle_gamma 90.00
_symmetry_space_group_name_H-M 'P 1'
_symmetry_Int_Tables_number 1
loop_
_symmetry_equiv_pos_as_xyz
'x,y,z'
loop_
_atom_site_label
_atom_site_type_symbol
_atom_site_fract_x
_atom_site_fract_y
_atom_site_fract_z
Pm1 Pm 0.0000 0.0000 0.0000
Sn1 Sn 0.0000 0.7097 0.7097
Sn2 Sn 0.5000 0.1931 0.1931
Sn3 Sn 0.5000 0.4660 0.4660
Ru1 Ru 0.0000 0.3189 0.3189
```